Simulated powder XRD pattern of Tl5Cu2O5 for Cu Kα, from a cell relaxed with PBE.

Largest 12 diffraction maxima, sorted by position, 2θ from 5° to 70°:
d = 3.437 Å, I = 264, hkl 1 1 0; d = 3.400 Å, I = 362, hkl 1 1 -1; d = 3.106 Å, I = 773, hkl 2 0 2; d = 3.044 Å, I = 497, hkl 1 1 -2; d = 2.858 Å, I = 600, hkl 4 0 -3; d = 2.587 Å, I = 1000, hkl 3 1 0; d = 2.453 Å, I = 256, hkl 3 1 -3; d = 2.253 Å, I = 266, hkl 1 1 3; d = 2.246 Å, I = 332, hkl 2 0 -5; d = 1.807 Å, I = 227, hkl 0 2 0; d = 1.592 Å, I = 230, hkl 7 1 -3; d = 1.584 Å, I = 250, hkl 5 1 2

Atomic structure:
```
data_Tl5Cu2O5
_cell_length_a 12.415
_cell_length_b 3.614
_cell_length_c 11.279
_cell_angle_alpha 90.00
_cell_angle_beta 116.55
_cell_angle_gamma 90.00
_space_group_name_H-M_alt 'C 1 2/m 1'
_space_group_IT_number 12
_space_group_name_Hall '-C 2y'
loop_
_atom_site_label
_atom_site_type_symbol
_atom_site_fract_x
_atom_site_fract_y
_atom_site_fract_z
Tl1 Tl 0.000 0.000 0.000
Tl2 Tl 0.107 0.500 0.455
Tl3 Tl 0.154 0.500 0.841
Cu1 Cu 0.196 0.500 0.276
O1 O 0.000 0.000 0.500
O2 O 0.199 0.500 0.105
O3 O 0.233 0.000 0.319
```